This entry pairs a crystal structure of Nd2Ho5Th4 with its simulated X-ray powder pattern. Radiation: Cu Kα X-rays. Structure: a cell relaxed with GGA-PBE.
Lines closer than 0.1° are merged.

Crystal structure
Cell lengths 24.1454, 3.4940, 8.6301 Å; angles 90.00, 94.36, 90.00 degrees
Space group C2/m (No. 12)
Inequivalent atoms, fractional coordinates:
Nd 0.2261 0.0000 0.3244 x4
Ho 0.0000 0.0000 0.5000 x2
Ho 0.1292 0.5000 0.5403 x4
Ho 0.1848 0.5000 0.9732 x4
Th 0.0441 0.5000 0.8481 x4
Th 0.0842 0.0000 0.1825 x4

Most intense lines, 5° ≤ 2θ ≤ 70°, by intensity:
(8 0 -1), 2.911 Å, 2θ 30.72, I 100
(5 1 1), 2.652 Å, 2θ 33.80, I 99
(3 1 -2), 2.608 Å, 2θ 34.39, I 92
(2 0 -3), 2.839 Å, 2θ 31.51, I 70
(6 0 2), 2.829 Å, 2θ 31.63, I 69
(1 1 1), 3.197 Å, 2θ 27.91, I 52
(3 1 4), 1.761 Å, 2θ 51.91, I 46
(2 2 -3), 1.487 Å, 2θ 62.45, I 40

***

This entry pairs a crystal structure of Nd2Ho6Th3 with its simulated X-ray powder pattern. Radiation: Cu Kα X-rays. Structure: a cell relaxed with GGA-PBE.
Lines closer than 0.1° are merged.

Crystal structure
Cell lengths 6.1732, 6.1732, 11.3312 Å; angles 90.00, 90.00, 120.00 degrees
Space group P-31m (No. 162)
Inequivalent atoms, fractional coordinates:
Nd 0.3333 0.6667 0.0000 x2
Ho 0.0000 0.3301 0.7445 x6
Th 0.0000 0.0000 0.5000 x1
Th 0.3333 0.6667 0.5000 x2

Most intense lines, 5° ≤ 2θ ≤ 70°, by intensity:
(2 -1 2), 2.710 Å, 2θ 33.05, I 100
(2 -1 1), 2.978 Å, 2θ 30.01, I 52
(0 0 1), 11.331 Å, 2θ 7.80, I 34
(0 0 4), 2.833 Å, 2θ 31.58, I 33
(3 0 4), 1.508 Å, 2θ 61.47, I 31
(1 1 3), 2.390 Å, 2θ 37.63, I 30
(3 0 0), 1.782 Å, 2θ 51.27, I 27
(2 -1 6), 1.611 Å, 2θ 57.18, I 22

***

This entry pairs a crystal structure of Nd6Ho2TmTh with its simulated X-ray powder pattern. Radiation: Cu Kα X-rays. Structure: a cell relaxed with GGA-PBE.
Lines closer than 0.1° are merged.

Crystal structure
Cell lengths 9.4018, 15.0787, 9.6563 Å; angles 90.00, 97.12, 90.00 degrees
Space group C2/c (No. 15)
Inequivalent atoms, fractional coordinates:
Nd 0.0626 0.1742 0.4417 x8
Nd 0.0940 0.3904 0.6170 x8
Nd 0.2104 0.2168 0.8104 x8
Ho 0.2481 0.0457 0.0516 x8
Tm 0.0000 0.4102 0.2500 x4
Th 0.0000 0.0302 0.7500 x4

Most intense lines, 5° ≤ 2θ ≤ 70°, by intensity:
(2 4 -1), 2.868 Å, 2θ 31.18, I 100
(0 2 3), 2.939 Å, 2θ 30.41, I 79
(2 2 2), 2.908 Å, 2θ 30.74, I 78
(1 3 2), 3.159 Å, 2θ 28.25, I 64
(3 1 -1), 3.010 Å, 2θ 29.68, I 59
(1 3 -3), 2.665 Å, 2θ 33.63, I 33
(1 5 -1), 2.778 Å, 2θ 32.22, I 31
(2 2 -2), 3.227 Å, 2θ 27.64, I 30

***

This entry pairs a crystal structure of NdHo2Tm4Th with its simulated X-ray powder pattern. Radiation: Cu Kα X-rays. Structure: a cell relaxed with GGA-PBE.
Lines closer than 0.1° are merged.

Crystal structure
Cell lengths 5.0316, 5.0426, 9.8646 Å; angles 90.00, 90.05, 90.00 degrees
Space group P2/m (No. 10)
Inequivalent atoms, fractional coordinates:
Nd 0.0000 0.0000 0.0000 x1
Ho 0.0000 0.0000 0.5000 x1
Ho 0.5000 0.5000 0.0000 x1
Tm 0.9997 0.5000 0.2534 x2
Tm 0.4995 0.0000 0.2538 x2
Th 0.5000 0.5000 0.5000 x1

Most intense lines, 5° ≤ 2θ ≤ 70°, by intensity:
(1 1 2), 2.888 Å, 2θ 30.97, I 100
(2 0 0), 2.519 Å, 2θ 35.65, I 34
(2 0 4), 1.762 Å, 2θ 51.89, I 24
(1 3 2), 1.516 Å, 2θ 61.12, I 22
(0 0 4), 2.466 Å, 2θ 36.43, I 16
(1 1 6), 1.493 Å, 2θ 62.19, I 14
(2 2 4), 1.444 Å, 2θ 64.55, I 12
(2 2 0), 1.781 Å, 2θ 51.30, I 12

***

This entry pairs a crystal structure of Nd2YHo2Th2 with its simulated X-ray powder pattern. Radiation: Cu Kα X-rays. Structure: a cell relaxed with GGA-PBE.
Lines closer than 0.1° are merged.

Crystal structure
Cell lengths 11.6615, 3.4424, 11.9654 Å; angles 90.00, 102.75, 90.00 degrees
Space group C2/m (No. 12)
Inequivalent atoms, fractional coordinates:
Nd 0.2051 0.0000 0.3613 x4
Y 0.0000 0.5000 0.5000 x2
Ho 0.1527 0.0000 0.0683 x4
Th 0.0948 0.0000 0.7786 x4

Most intense lines, 5° ≤ 2θ ≤ 70°, by intensity:
(2 0 3), 2.924 Å, 2θ 30.57, I 100
(2 0 -4), 2.865 Å, 2θ 31.21, I 85
(4 0 -1), 2.915 Å, 2θ 30.68, I 82
(1 1 0), 3.295 Å, 2θ 27.06, I 61
(3 1 0), 2.549 Å, 2θ 35.21, I 54
(2 2 3), 1.483 Å, 2θ 62.66, I 48
(1 1 -3), 2.597 Å, 2θ 34.53, I 44
(3 1 -1), 2.571 Å, 2θ 34.90, I 40

***

This entry pairs a crystal structure of NdHoTl4 with its simulated X-ray powder pattern. Radiation: Cu Kα X-rays. Structure: a cell relaxed with GGA-PBE.
Lines closer than 0.1° are merged.

Crystal structure
Cell lengths 3.8089, 5.1055, 8.7658 Å; angles 90.00, 90.45, 90.00 degrees
Space group Pm (No. 6)
Inequivalent atoms, fractional coordinates:
Nd 0.0000 0.0000 0.0000 x1
Ho 0.0032 0.5000 0.4979 x1
Tl 0.3486 0.0000 0.6624 x1
Tl 0.3759 0.5000 0.1694 x1
Tl 0.6315 0.5000 0.8267 x1
Tl 0.6494 0.0000 0.3375 x1

Most intense lines, 5° ≤ 2θ ≤ 70°, by intensity:
(1 1 1), 2.877 Å, 2θ 31.08, I 100
(0 1 3), 2.536 Å, 2θ 35.40, I 73
(1 0 -2), 2.886 Å, 2θ 30.99, I 51
(0 2 0), 2.553 Å, 2θ 35.16, I 37
(1 2 -2), 1.912 Å, 2θ 47.55, I 32
(2 1 -1), 1.751 Å, 2θ 52.24, I 23
(1 3 1), 1.529 Å, 2θ 60.55, I 15
(1 1 -5), 1.524 Å, 2θ 60.76, I 15

***

This entry pairs a crystal structure of Nd15HoTl4 with its simulated X-ray powder pattern. Radiation: Cu Kα X-rays. Structure: a cell relaxed with GGA-PBE.
Lines closer than 0.1° are merged.

Crystal structure
Cell lengths 4.9925, 4.9925, 25.5234 Å; angles 90.00, 90.00, 90.00 degrees
Space group P4/mmm (No. 123)
Inequivalent atoms, fractional coordinates:
Nd 0.0000 0.0000 0.0000 x1
Nd 0.0000 0.0000 0.2038 x2
Nd 0.0000 0.0000 0.4015 x2
Nd 0.0000 0.5000 0.1043 x4
Nd 0.0000 0.5000 0.3028 x4
Nd 0.0000 0.5000 0.5000 x2
Ho 0.5000 0.5000 0.0000 x1
Tl 0.5000 0.5000 0.2056 x2
Tl 0.5000 0.5000 0.4015 x2

Most intense lines, 5° ≤ 2θ ≤ 70°, by intensity:
(1 1 5), 2.904 Å, 2θ 30.79, I 100
(2 0 0), 2.496 Å, 2θ 35.98, I 33
(3 1 5), 1.508 Å, 2θ 61.48, I 28
(2 0 10), 1.785 Å, 2θ 51.19, I 24
(0 0 10), 2.552 Å, 2θ 35.16, I 17
(1 1 15), 1.533 Å, 2θ 60.39, I 14
(2 2 10), 1.452 Å, 2θ 64.14, I 13
(2 2 0), 1.765 Å, 2θ 51.79, I 12

***

This entry pairs a crystal structure of Nd8HoTl2 with its simulated X-ray powder pattern. Radiation: Cu Kα X-rays. Structure: a cell relaxed with GGA-PBE.
Lines closer than 0.1° are merged.

Crystal structure
Cell lengths 9.0521, 15.6314, 5.8502 Å; angles 90.00, 115.54, 90.00 degrees
Space group C2/m (No. 12)
Inequivalent atoms, fractional coordinates:
Nd 0.0000 0.2187 0.0000 x4
Nd 0.0965 0.5000 0.7953 x4
Nd 0.2060 0.1125 0.6167 x8
Ho 0.0000 0.0000 0.0000 x2
Tl 0.0000 0.3056 0.5000 x4

Most intense lines, 5° ≤ 2θ ≤ 70°, by intensity:
(1 5 -1), 2.740 Å, 2θ 32.68, I 100
(3 1 -1), 2.950 Å, 2θ 30.30, I 80
(2 4 0), 2.823 Å, 2θ 31.69, I 61
(0 4 1), 3.141 Å, 2θ 28.42, I 50
(1 1 -2), 2.855 Å, 2θ 31.33, I 40
(1 3 1), 3.047 Å, 2θ 29.31, I 36
(6 0 -2), 1.503 Å, 2θ 61.72, I 29
(2 0 -2), 2.845 Å, 2θ 31.44, I 23

***

- Number 1 is which compound?
  Nd2Ho5Th4